Computed powder XRD pattern
Compound: HoB2F8
Radiation: Cu Kα (weighted mean of Kα1 and Kα2)
Structure: a structure optimized by DFT (PBE)

Top 10 peaks for 10° ≤ 2θ ≤ 90°, most intense first:
Position (°2θ), d/Å, I_rel
20.1, 4.410, 100
16.2, 5.466, 40
41.1, 2.194, 34
28.3, 3.157, 34
33.7, 2.656, 30
42.0, 2.150, 29
35.2, 2.550, 23
30.5, 2.932, 23
20.7, 4.297, 22
43.9, 2.063, 18

Cell and atoms:
abc: 5.381 5.381 5.893
angles: 109.20 109.20 56.62
Atoms (fractional coordinates):
Ho 0.000 0.000 0.000
B 0.193 0.193 0.692
B 0.807 0.807 0.308
F 0.095 0.653 0.241
F 0.159 0.159 0.437
F 0.347 0.905 0.759
F 0.354 0.354 0.816
F 0.646 0.646 0.184
F 0.653 0.095 0.241
F 0.841 0.841 0.563
F 0.905 0.347 0.759